# 1
For TmZrZnRe, a structure optimized by DFT (GGA-PBE) gives the computed X-ray diffraction stick pattern in this record (CuKα).

Structural model:
a b c (Å): 4.7826 4.7826 4.7826
angles (deg): 60.00 60.00 60.00
Positions (direct):
Tm1 0.0000 0.0000 0.0000
Zr1 0.5000 0.5000 0.5000
Zn1 0.7500 0.7500 0.7500
Re1 0.2500 0.2500 0.2500

Peak list (9 most intense, 2θ = 15–90°, sorted by position)
2θ/deg	d [Å]	I_rel
22.77	3.905	16
37.61	2.391	100
44.42	2.039	9
54.25	1.691	17
59.58	1.552	4
67.89	1.381	35
72.63	1.302	3
80.30	1.196	11
84.80	1.143	3


# 2
For TbDy2Er2In, a structure optimized by DFT (GGA-PBE) gives the computed X-ray diffraction stick pattern in this record (CuKα).

Structural model:
a b c (Å): 6.5977 9.9831 5.4059
angles (deg): 90.00 90.00 90.00
Positions (direct):
Tb1 0.0000 0.0000 0.0000
Tb2 0.5000 0.5000 0.5000
Dy1 0.2238 0.1879 0.5000
Dy2 0.2762 0.6879 0.0000
Dy3 0.7238 0.3121 0.0000
Dy4 0.7762 0.8121 0.5000
Er1 0.2131 0.3627 0.0000
Er2 0.2869 0.8627 0.5000
Er3 0.7131 0.1373 0.5000
Er4 0.7869 0.6373 0.0000
In1 0.0000 0.5000 0.5000
In2 0.5000 0.0000 0.0000

Peak list (12 most intense, 2θ = 15–90°, sorted by position)
2θ/deg	d [Å]	I_rel
27.03	3.299	8
31.57	2.834	74
32.53	2.752	27
33.09	2.707	100
34.44	2.604	14
45.58	1.990	11
47.13	1.928	19
56.51	1.628	10
57.50	1.603	11
58.22	1.585	13
59.15	1.562	12
65.47	1.426	12


# 3
For Ca2PaAsN2, a structure optimized by DFT (GGA-PBE) gives the computed X-ray diffraction stick pattern in this record (CuKα).

Structural model:
a b c (Å): 4.3514 4.3514 6.3674
angles (deg): 90.00 90.00 90.00
Positions (direct):
Ca1 0.0000 0.0000 0.2475
Ca2 0.0000 0.0000 0.7525
Pa1 0.5000 0.5000 0.5000
As1 0.5000 0.5000 0.0000
N1 0.0000 0.5000 0.5000
N2 0.5000 0.0000 0.5000

Peak list (12 most intense, 2θ = 15–90°, sorted by position)
2θ/deg	d [Å]	I_rel
20.41	4.351	58
24.78	3.593	35
28.03	3.184	18
29.02	3.077	70
34.92	2.569	100
40.78	2.212	17
41.51	2.176	35
46.68	1.946	15
50.83	1.796	14
55.33	1.660	53
66.08	1.414	16
86.18	1.128	15


# 4
For SmGdMgGa, a structure optimized by DFT (GGA-PBE) gives the computed X-ray diffraction stick pattern in this record (CuKα).

Structural model:
a b c (Å): 5.2383 5.2383 5.2383
angles (deg): 60.00 60.00 60.00
Positions (direct):
Sm1 0.0000 0.0000 0.0000
Gd1 0.5000 0.5000 0.5000
Mg1 0.2500 0.2500 0.2500
Ga1 0.7500 0.7500 0.7500

Peak list (12 most intense, 2θ = 15–90°, sorted by position)
2θ/deg	d [Å]	I_rel
20.77	4.277	3
24.03	3.704	32
34.24	2.619	100
40.38	2.234	2
42.26	2.139	10
49.20	1.852	18
55.47	1.656	13
61.30	1.512	37
72.13	1.310	11
77.28	1.235	6
82.32	1.171	16
87.31	1.117	4


# 5
For YEr6, a structure optimized by DFT (GGA-PBE) gives the computed X-ray diffraction stick pattern in this record (CuKα).

Structural model:
a b c (Å): 6.4459 6.4459 10.8822
angles (deg): 90.00 90.00 90.00
Positions (direct):
Y1 0.2500 0.7500 0.0000
Y2 0.7500 0.2500 0.0000
Er1 0.0815 0.5815 0.3626
Er2 0.0815 0.9185 0.6374
Er3 0.2500 0.2500 0.1412
Er4 0.2500 0.2500 0.8588
Er5 0.4185 0.5815 0.6374
Er6 0.4185 0.9185 0.3626
Er7 0.5815 0.0815 0.6374
Er8 0.5815 0.4185 0.3626
Er9 0.7500 0.7500 0.1412
Er10 0.7500 0.7500 0.8588
Er11 0.9185 0.0815 0.3626
Er12 0.9185 0.4185 0.6374

Peak list (12 most intense, 2θ = 15–90°, sorted by position)
2θ/deg	d [Å]	I_rel
21.13	4.204	37
28.89	3.090	97
31.52	2.838	77
32.12	2.787	76
32.92	2.721	45
35.23	2.547	100
37.32	2.409	44
44.45	2.038	35
52.70	1.737	28
56.40	1.631	54
61.70	1.503	34
66.78	1.401	48


# 6
For Pm2USb, a structure optimized by DFT (GGA-PBE) gives the computed X-ray diffraction stick pattern in this record (CuKα).

Structural model:
a b c (Å): 4.8915 4.8915 4.5988
angles (deg): 90.00 90.00 90.00
Positions (direct):
Pm1 0.0000 0.5000 0.0000
Pm2 0.5000 0.0000 0.0000
U1 0.0000 0.0000 0.5000
Sb1 0.5000 0.5000 0.5000

Peak list (12 most intense, 2θ = 15–90°, sorted by position)
2θ/deg	d [Å]	I_rel
18.14	4.891	5
26.60	3.351	4
32.39	2.764	100
36.75	2.446	36
39.18	2.299	15
52.95	1.729	13
54.80	1.675	23
63.45	1.466	29
66.75	1.401	13
67.81	1.382	12
87.16	1.118	7
89.63	1.094	6


# 7
For RbCaAsCl6, a structure optimized by DFT (GGA-PBE) gives the computed X-ray diffraction stick pattern in this record (CuKα).

Structural model:
a b c (Å): 6.9278 6.9278 7.2779
angles (deg): 90.00 90.00 120.00
Positions (direct):
Rb1 0.0000 0.0000 0.0000
Ca1 0.3333 0.6667 0.5000
As1 0.6667 0.3333 0.5000
Cl1 0.3838 0.0245 0.7029
Cl2 0.3838 0.3594 0.2971
Cl3 0.6406 0.0245 0.2971
Cl4 0.6406 0.6162 0.7029
Cl5 0.9755 0.3594 0.7029
Cl6 0.9755 0.6162 0.2971

Peak list (12 most intense, 2θ = 15–90°, sorted by position)
2θ/deg	d [Å]	I_rel
19.17	4.629	100
25.72	3.464	10
28.54	3.128	42
32.28	2.773	18
35.79	2.509	73
41.72	2.165	28
45.35	2.000	27
48.24	1.886	13
55.47	1.657	12
56.75	1.622	14
59.07	1.564	13
77.48	1.232	10


# 8
For CeYHo14, a structure optimized by DFT (GGA-PBE) gives the computed X-ray diffraction stick pattern in this record (CuKα).

Structural model:
a b c (Å): 11.2266 7.1999 7.1999
angles (deg): 60.01 90.00 90.00
Positions (direct):
Ce1 0.0000 0.0000 0.0000
Y1 0.0000 0.5005 0.5005
Ho1 0.0000 0.5002 0.9981
Ho2 0.0000 0.9981 0.5002
Ho3 0.2501 0.8339 0.8339
Ho4 0.2510 0.3305 0.8343
Ho5 0.2510 0.8343 0.3305
Ho6 0.2517 0.3327 0.3327
Ho7 0.5000 0.9995 0.9995
Ho8 0.5000 0.9998 0.4997
Ho9 0.5000 0.4997 0.9998
Ho10 0.5000 0.4996 0.4996
Ho11 0.7483 0.3327 0.3327
Ho12 0.7490 0.3305 0.8343
Ho13 0.7490 0.8343 0.3305
Ho14 0.7499 0.8339 0.8339

Peak list (12 most intense, 2θ = 15–90°, sorted by position)
2θ/deg	d [Å]	I_rel
28.63	3.118	24
31.89	2.807	24
32.86	2.726	100
43.38	2.086	16
50.71	1.800	20
57.44	1.604	20
61.17	1.515	22
61.76	1.502	16
68.90	1.363	4
80.13	1.198	8
83.89	1.153	14
88.30	1.107	8


# 9
For Fe6CoPt5, a structure optimized by DFT (GGA-PBE) gives the computed X-ray diffraction stick pattern in this record (CuKα).

Structural model:
a b c (Å): 7.0936 7.0936 7.0936
angles (deg): 148.61 116.69 72.37
Positions (direct):
Fe1 0.0827 0.3377 0.7450
Fe2 0.2434 0.0000 0.2434
Fe3 0.4073 0.6623 0.7450
Fe4 0.5927 0.3377 0.2550
Fe5 0.7566 0.0000 0.7566
Fe6 0.9173 0.6623 0.2550
Co1 0.0000 0.5000 0.5000
Pt1 0.1629 0.1629 0.0000
Pt2 0.3326 0.8326 0.5000
Pt3 0.5000 0.5000 0.0000
Pt4 0.6674 0.1674 0.5000
Pt5 0.8371 0.8371 0.0000

Peak list (12 most intense, 2θ = 15–90°, sorted by position)
2θ/deg	d [Å]	I_rel
23.90	3.723	23
33.10	2.706	21
41.24	2.189	100
47.37	1.919	17
47.65	1.908	16
48.94	1.861	15
69.46	1.353	10
70.48	1.336	10
83.89	1.153	12
84.31	1.149	12
86.23	1.128	12
89.56	1.094	11


# 10
For MgBe5Cu7, a structure optimized by DFT (GGA-PBE) gives the computed X-ray diffraction stick pattern in this record (CuKα).

Structural model:
a b c (Å): 6.0543 6.0543 6.0543
angles (deg): 136.31 98.27 97.65
Positions (direct):
Mg1 0.0000 0.0000 0.0000
Be1 0.5025 0.4992 0.5039
Be2 0.5025 0.9987 0.0033
Be3 0.7700 0.2700 0.5000
Be4 0.9953 0.4992 0.9967
Be5 0.9953 0.9987 0.4961
Cu1 0.1976 0.4936 0.7040
Cu2 0.2239 0.7239 0.5000
Cu3 0.3501 0.3501 0.0000
Cu4 0.3521 0.0052 0.3469
Cu5 0.6567 0.6567 0.0000
Cu6 0.6583 0.0052 0.6531
Cu7 0.7896 0.4936 0.2960

Peak list (12 most intense, 2θ = 15–90°, sorted by position)
2θ/deg	d [Å]	I_rel
15.77	5.619	44
22.30	3.986	25
31.85	2.810	47
32.07	2.791	17
39.36	2.289	22
39.56	2.278	51
40.02	2.253	55
45.83	1.980	100
51.46	1.776	34
51.70	1.768	23
52.03	1.758	32
76.80	1.241	18


# 11
For Er5TlIn2, a structure optimized by DFT (GGA-PBE) gives the computed X-ray diffraction stick pattern in this record (CuKα).

Structural model:
a b c (Å): 9.0684 9.0684 9.0684
angles (deg): 127.77 127.77 76.99
Positions (direct):
Er1 0.0000 0.0000 0.0000
Er2 0.0091 0.5091 0.8220
Er3 0.1870 0.0091 0.5000
Er4 0.3130 0.8130 0.8220
Er5 0.4909 0.3130 0.5000
Er6 0.5000 0.5000 0.0000
Er7 0.5091 0.6870 0.5000
Er8 0.6870 0.1870 0.1780
Er9 0.8130 0.9909 0.5000
Er10 0.9909 0.4909 0.1780
Tl1 0.2500 0.2500 0.0000
Tl2 0.7500 0.7500 0.0000
In1 0.1325 0.3675 0.5000
In2 0.3675 0.8675 0.2351
In3 0.6325 0.1325 0.7649
In4 0.8675 0.6325 0.5000

Peak list (12 most intense, 2θ = 15–90°, sorted by position)
2θ/deg	d [Å]	I_rel
29.74	3.004	22
31.39	2.850	100
31.70	2.822	14
33.80	2.652	31
35.56	2.524	58
38.04	2.366	10
50.96	1.792	12
51.17	1.785	9
55.26	1.662	13
63.13	1.473	9
64.16	1.452	10
66.05	1.415	15